Record 1
Structure and simulated PXRD pattern of Nd4Ir3Pd (DFT lattice parameters and positions (PBE); Cu Kα, 1.54184 Å).

Peak list (8 most intense, 2θ = 15–90°, by angle)
2theta  I (rel.)
31.55  100
32.56  27
33.09  20
38.88  32
39.33  77
42.03  29
45.16  24
63.39  17

abc: 4.016 4.299 10.999
angles: 90.00 90.00 90.00
Element x y z (fractional)
Nd (0.000, 0.000, 0.000)
Nd (0.000, 0.500, 0.278)
Nd (0.500, 0.000, 0.489)
Nd (0.500, 0.500, 0.779)
Ir (0.000, 0.500, 0.553)
Ir (0.500, 0.000, 0.216)
Ir (0.500, 0.500, 0.050)
Pd (0.000, 0.000, 0.718)

=====

Record 2
Structure and simulated PXRD pattern of NdSmIrPd (DFT lattice parameters and positions (PBE); Cu Kα, 1.54184 Å).

Peak list (8 most intense, 2θ = 15–90°, by angle)
2theta  I (rel.)
31.60  100
33.24  30
34.05  17
38.94  23
39.65  73
40.04  31
46.97  20
63.39  16

abc: 4.504 5.728 5.728
angles: 39.48 90.00 90.00
Element x y z (fractional)
Nd (0.000, 0.000, 0.000)
Sm (0.500, 0.277, 0.277)
Ir (0.000, 0.728, 0.728)
Pd (0.500, 0.556, 0.556)

=====

Record 3
Structure and simulated PXRD pattern of Pm8NdIr6 (DFT lattice parameters and positions (PBE); Cu Kα, 1.54184 Å).

Peak list (8 most intense, 2θ = 15–90°, by angle)
2theta  I (rel.)
20.92  20
35.95  100
36.66  91
52.29  35
64.16  19
65.55  35
66.01  17
87.69  17

abc: 7.887 7.887 7.887
angles: 65.14 65.14 65.14
Element x y z (fractional)
Pm (0.053, 0.722, 0.389)
Pm (0.166, 0.166, 0.166)
Pm (0.278, 0.611, 0.947)
Pm (0.389, 0.053, 0.722)
Pm (0.611, 0.947, 0.278)
Pm (0.722, 0.389, 0.053)
Pm (0.834, 0.834, 0.834)
Pm (0.947, 0.278, 0.611)
Nd (0.500, 0.500, 0.500)
Ir (0.108, 0.442, 0.776)
Ir (0.224, 0.892, 0.558)
Ir (0.442, 0.776, 0.108)
Ir (0.558, 0.224, 0.892)
Ir (0.776, 0.108, 0.442)
Ir (0.892, 0.558, 0.224)

=====

Record 4
Structure and simulated PXRD pattern of Pm3NdIr8 (DFT lattice parameters and positions (PBE); Cu Kα, 1.54184 Å).

Peak list (8 most intense, 2θ = 15–90°, by angle)
2theta  I (rel.)
20.04  15
33.01  20
38.92  100
40.72  49
47.38  9
62.92  33
69.24  30
83.55  19

abc: 9.395 9.395 9.395
angles: 33.59 33.59 33.59
Element x y z (fractional)
Pm (0.000, 0.000, 0.000)
Pm (0.125, 0.125, 0.125)
Pm (0.500, 0.500, 0.500)
Nd (0.625, 0.625, 0.625)
Ir (0.062, 0.062, 0.562)
Ir (0.062, 0.562, 0.062)
Ir (0.063, 0.562, 0.562)
Ir (0.312, 0.312, 0.312)
Ir (0.562, 0.062, 0.062)
Ir (0.562, 0.063, 0.562)
Ir (0.562, 0.562, 0.063)
Ir (0.812, 0.812, 0.812)

=====

Record 5
Structure and simulated PXRD pattern of Pm2Nd3Ir3 (DFT lattice parameters and positions (PBE); Cu Kα, 1.54184 Å).

Peak list (8 most intense, 2θ = 15–90°, by angle)
2theta  I (rel.)
16.97  78
23.44  29
23.56  30
31.36  100
33.50  37
33.67  35
39.56  31
46.55  29

abc: 7.112 7.112 13.955
angles: 90.26 90.26 47.29
Element x y z (fractional)
Pm (0.000, 0.000, 0.000)
Pm (0.002, 0.002, 0.366)
Pm (0.342, 0.342, 0.500)
Pm (0.615, 0.615, 0.817)
Nd (0.338, 0.338, 0.865)
Nd (0.419, 0.419, 0.184)
Nd (0.619, 0.619, 0.551)
Nd (0.724, 0.724, 0.050)
Nd (0.726, 0.726, 0.316)
Nd (0.924, 0.924, 0.684)
Ir (0.455, 0.455, 0.683)
Ir (0.517, 0.517, 0.994)
Ir (0.519, 0.519, 0.373)
Ir (0.822, 0.822, 0.872)
Ir (0.826, 0.826, 0.494)
Ir (0.889, 0.889, 0.183)

=====

Record 6
Structure and simulated PXRD pattern of Pm7NdIr2 (DFT lattice parameters and positions (PBE); Cu Kα, 1.54184 Å).

Peak list (8 most intense, 2θ = 15–90°, by angle)
2theta  I (rel.)
16.01  100
31.93  85
32.34  97
32.57  48
34.93  58
35.59  52
46.09  62
48.85  43

abc: 8.482 8.482 5.537
angles: 90.00 90.00 116.87
Element x y z (fractional)
Pm (0.000, 0.000, 0.000)
Pm (0.175, 0.440, 0.000)
Pm (0.206, 0.794, 0.500)
Pm (0.440, 0.175, 0.000)
Pm (0.560, 0.825, 0.000)
Pm (0.794, 0.206, 0.500)
Pm (0.825, 0.560, 0.000)
Nd (0.500, 0.500, 0.500)
Ir (0.204, 0.796, 0.000)
Ir (0.796, 0.204, 0.000)

=====

Record 7
Structure and simulated PXRD pattern of Pm2NdIr (DFT lattice parameters and positions (PBE); Cu Kα, 1.54184 Å).

Peak list (8 most intense, 2θ = 15–90°, by angle)
2theta  I (rel.)
15.61  41
24.14  31
29.24  46
29.59  100
38.02  32
38.30  53
45.61  39
49.95  23

abc: 6.924 6.485 11.758
angles: 90.00 90.00 90.00
Element x y z (fractional)
Pm (0.086, 0.249, 0.083)
Pm (0.086, 0.251, 0.417)
Pm (0.414, 0.749, 0.417)
Pm (0.414, 0.751, 0.083)
Pm (0.586, 0.249, 0.917)
Pm (0.586, 0.251, 0.583)
Pm (0.914, 0.749, 0.583)
Pm (0.914, 0.751, 0.917)
Nd (0.062, 0.250, 0.750)
Nd (0.438, 0.750, 0.750)
Nd (0.562, 0.250, 0.250)
Nd (0.938, 0.750, 0.250)
Ir (0.250, 0.000, 0.912)
Ir (0.250, 0.500, 0.588)
Ir (0.750, 0.000, 0.088)
Ir (0.750, 0.500, 0.412)

=====

Record 8
Structure and simulated PXRD pattern of Pm3Nd2Ir3 (DFT lattice parameters and positions (PBE); Cu Kα, 1.54184 Å).

Peak list (8 most intense, 2θ = 15–90°, by angle)
2theta  I (rel.)
16.96  78
23.64  30
31.33  100
33.63  36
33.80  35
39.58  31
44.22  30
46.62  31

abc: 7.089 7.089 13.915
angles: 90.28 90.28 47.50
Element x y z (fractional)
Pm (0.000, 0.000, 0.000)
Pm (0.001, 0.001, 0.266)
Pm (0.198, 0.198, 0.634)
Pm (0.616, 0.616, 0.449)
Pm (0.693, 0.693, 0.134)
Pm (0.890, 0.890, 0.767)
Nd (0.277, 0.277, 0.951)
Nd (0.279, 0.279, 0.316)
Nd (0.613, 0.613, 0.815)
Nd (0.894, 0.894, 0.501)
Ir (0.097, 0.097, 0.821)
Ir (0.101, 0.101, 0.444)
Ir (0.162, 0.162, 0.133)
Ir (0.728, 0.728, 0.633)
Ir (0.792, 0.792, 0.945)
Ir (0.794, 0.794, 0.322)

=====

Record 9
Structure and simulated PXRD pattern of PmNdIrRh (DFT lattice parameters and positions (PBE); Cu Kα, 1.54184 Å).

Peak list (8 most intense, 2θ = 15–90°, by angle)
2theta  I (rel.)
21.79  4
35.96  100
42.44  3
51.76  18
56.80  1
64.63  36
76.24  11
87.28  16

abc: 4.996 4.996 4.996
angles: 60.00 60.00 60.00
Element x y z (fractional)
Pm (0.000, 0.000, 0.000)
Nd (0.500, 0.500, 0.500)
Ir (0.250, 0.250, 0.250)
Rh (0.750, 0.750, 0.750)

=====

Record 10
Structure and simulated PXRD pattern of PmNdTlIr (DFT lattice parameters and positions (PBE); Cu Kα, 1.54184 Å).

Peak list (8 most intense, 2θ = 15–90°, by angle)
2theta  I (rel.)
33.07  18
33.87  100
35.53  25
37.68  11
47.99  11
49.32  12
59.55  13
62.75  17

abc: 3.791 5.053 5.418
angles: 90.00 90.00 90.00
Element x y z (fractional)
Pm (0.000, 0.000, 0.000)
Nd (0.000, 0.500, 0.474)
Tl (0.500, 0.000, 0.524)
Ir (0.500, 0.500, 0.882)

=====

Record 11
Structure and simulated PXRD pattern of PrNd3Ir (DFT lattice parameters and positions (PBE); Cu Kα, 1.54184 Å).

Peak list (8 most intense, 2θ = 15–90°, by angle)
2theta  I (rel.)
19.01  16
26.00  16
32.90  100
35.57  27
35.77  27
43.85  23
51.33  19
62.46  17

abc: 7.119 7.119 6.818
angles: 105.09 105.09 90.31
Element x y z (fractional)
Pr (0.068, 0.068, 0.270)
Pr (0.932, 0.932, 0.730)
Nd (0.066, 0.566, 0.266)
Nd (0.433, 0.433, 0.732)
Nd (0.434, 0.934, 0.734)
Nd (0.566, 0.066, 0.266)
Nd (0.567, 0.567, 0.268)
Nd (0.934, 0.434, 0.734)
Ir (0.251, 0.251, 0.000)
Ir (0.749, 0.749, 0.000)

=====

Record 12
Structure and simulated PXRD pattern of Pr3NdIr8 (DFT lattice parameters and positions (PBE); Cu Kα, 1.54184 Å).

Peak list (8 most intense, 2θ = 15–90°, by angle)
2theta  I (rel.)
19.93  16
32.83  19
38.70  100
40.50  50
62.55  33
68.83  30
81.87  12
83.02  20

abc: 9.445 9.445 9.445
angles: 33.59 33.59 33.59
Element x y z (fractional)
Pr (0.000, 0.000, 0.000)
Pr (0.125, 0.125, 0.125)
Pr (0.500, 0.500, 0.500)
Nd (0.625, 0.625, 0.625)
Ir (0.062, 0.562, 0.562)
Ir (0.063, 0.063, 0.563)
Ir (0.063, 0.563, 0.063)
Ir (0.313, 0.313, 0.313)
Ir (0.562, 0.062, 0.562)
Ir (0.562, 0.562, 0.062)
Ir (0.563, 0.063, 0.063)
Ir (0.813, 0.813, 0.813)

=====

Record 13
Structure and simulated PXRD pattern of Pr2Nd3Ir2 (DFT lattice parameters and positions (PBE); Cu Kα, 1.54184 Å).

Peak list (8 most intense, 2θ = 15–90°, by angle)
2theta  I (rel.)
29.76  69
31.11  79
31.87  79
32.85  76
33.09  100
34.55  53
37.53  61
45.85  47

abc: 6.580 6.580 9.239
angles: 114.70 114.70 35.01
Element x y z (fractional)
Pr (0.169, 0.169, 0.309)
Pr (0.831, 0.831, 0.691)
Nd (0.382, 0.382, 0.072)
Nd (0.500, 0.500, 0.500)
Nd (0.618, 0.618, 0.928)
Ir (0.178, 0.178, 0.742)
Ir (0.822, 0.822, 0.258)

=====

Record 14
Structure and simulated PXRD pattern of Nd4IrPt2 (DFT lattice parameters and positions (PBE); Cu Kα, 1.54184 Å).

Peak list (8 most intense, 2θ = 15–90°, by angle)
2theta  I (rel.)
19.41  24
27.59  68
30.33  100
36.55  26
36.72  70
39.42  54
48.06  29
58.53  26

abc: 7.976 7.976 7.976
angles: 110.08 110.02 108.32
Element x y z (fractional)
Nd (0.193, 0.246, 0.554)
Nd (0.193, 0.639, 0.946)
Nd (0.247, 0.193, 0.054)
Nd (0.361, 0.807, 0.554)
Nd (0.639, 0.193, 0.446)
Nd (0.753, 0.807, 0.946)
Nd (0.807, 0.361, 0.054)
Nd (0.807, 0.754, 0.446)
Ir (0.125, 0.875, 0.250)
Ir (0.875, 0.125, 0.750)
Pt (0.000, 0.500, 0.500)
Pt (0.500, 0.000, 0.000)
Pt (0.500, 0.500, 0.000)
Pt (0.500, 0.500, 0.500)